No. 1
This entry pairs a crystal structure of Ti2SN2 with its calculated powder X-ray diffraction pattern. Radiation: copper Kα. Structure: a cell relaxed with GGA-PBE.
Intensities are scaled so that the largest is 100.

Most intense lines, 2θ = 15–90°, by angle:
2θ/deg  Rel. int.
16.3  17.6
35.9  100.0
36.6  29.4
52.8  20.8
63.9  21.2
65.4  29.0
76.0  6.3
77.9  5.8
85.1  6.5
88.8  6.2

Cell and atoms:
a b c (Å): 5.958 5.958 5.958
angles (deg): 146.15 146.15 48.63
Fractional coordinates of all 5 atoms:
Ti (0.162, 0.162, 0.000)
Ti (0.838, 0.838, 0.000)
S (0.500, 0.500, 0.000)
N (0.250, 0.750, 0.500)
N (0.750, 0.250, 0.500)

No. 2
This entry pairs a crystal structure of Tm8S6N with its calculated powder X-ray diffraction pattern. Radiation: copper Kα. Structure: a cell relaxed with GGA-PBE.
Intensities are scaled so that the largest is 100.

Most intense lines, 2θ = 15–90°, by angle:
2θ/deg  Rel. int.
21.3  33.0
29.3  100.0
31.3  46.6
32.2  84.9
36.5  76.2
38.9  19.6
44.1  31.6
46.2  22.3
53.2  42.2
57.4  35.9

Cell and atoms:
a b c (Å): 9.631 9.631 3.929
angles (deg): 90.00 90.00 120.00
Fractional coordinates of all 15 atoms:
Tm (0.026, 0.725, 0.265)
Tm (0.275, 0.301, 0.265)
Tm (0.301, 0.026, 0.735)
Tm (0.333, 0.667, 0.744)
Tm (0.667, 0.333, 0.256)
Tm (0.699, 0.974, 0.265)
Tm (0.725, 0.699, 0.735)
Tm (0.974, 0.275, 0.735)
S (0.130, 0.477, 0.243)
S (0.347, 0.870, 0.243)
S (0.477, 0.347, 0.757)
S (0.523, 0.653, 0.243)
S (0.653, 0.130, 0.757)
S (0.870, 0.523, 0.757)
N (0.000, 0.000, 0.500)